Starting from a DFT-relaxed cell (GGA-PBE, Alexandria), the powder diffraction line list of PrDy3Cd6 was computed for a wavelength of 1.5418 Å.

```
PrDy3Cd6
1.0
9.242 0.000 0.000
0.000 5.220 0.000
-3.181 0.000 10.736
Pr Dy Cd
2 6 12
Direct
0.059 0.250 0.388
0.941 0.750 0.612
0.238 0.250 0.999
0.352 0.750 0.799
0.473 0.250 0.608
0.527 0.750 0.392
0.648 0.250 0.201
0.762 0.750 0.001
0.054 0.750 0.908
0.145 0.750 0.198
0.162 0.250 0.698
0.252 0.750 0.506
0.351 0.250 0.291
0.452 0.750 0.096
0.548 0.250 0.904
0.649 0.750 0.709
0.748 0.250 0.494
0.838 0.750 0.302
0.855 0.250 0.802
0.946 0.250 0.092
```

Most intense lines, 2θ = 10–90°, sorted by position:
two_theta	Rel. int.
33.77	50
33.79	100
34.20	98
34.36	50
48.72	17
48.95	35
60.16	17
60.96	34
61.16	26
61.43	18

***

Starting from a DFT-relaxed cell (GGA-PBE, Alexandria), the powder diffraction line list of Pr3Dy5Cd2 was computed for a wavelength of 1.5418 Å.

```
Pr3Dy5Cd2
1.0
-6.692 7.363 3.342
6.692 -7.363 3.342
6.692 7.363 -3.342
Pr Dy Cd
6 10 4
Direct
0.228 0.140 0.368
0.250 0.250 0.000
0.272 0.640 0.912
0.728 0.360 0.088
0.750 0.750 0.000
0.772 0.860 0.632
0.171 0.401 0.572
0.250 0.511 0.261
0.250 0.750 0.500
0.250 0.989 0.739
0.329 0.901 0.231
0.671 0.099 0.769
0.750 0.011 0.261
0.750 0.250 0.500
0.750 0.489 0.739
0.829 0.599 0.428
0.137 0.862 0.999
0.363 0.362 0.724
0.637 0.638 0.276
0.863 0.138 0.001
```

Most intense lines, 2θ = 10–90°, sorted by position:
two_theta	Rel. int.
24.18	9
26.17	15
29.33	100
35.92	23
36.29	25
36.62	9
38.06	39
53.83	11
54.92	12
63.48	17

***

Starting from a DFT-relaxed cell (GGA-PBE, Alexandria), the powder diffraction line list of PrDyCd17 was computed for a wavelength of 1.5418 Å.

```
PrDyCd17
1.0
5.042 2.911 4.996
-5.042 2.911 4.996
0.000 -5.822 4.996
Pr Dy Cd
1 1 17
Direct
0.000 0.000 0.000
0.658 0.658 0.658
0.028 0.335 0.632
0.028 0.632 0.335
0.206 0.679 0.679
0.239 0.239 0.239
0.312 0.312 0.855
0.312 0.855 0.312
0.335 0.028 0.632
0.335 0.632 0.028
0.437 0.437 0.437
0.537 0.956 0.956
0.632 0.028 0.335
0.632 0.335 0.028
0.679 0.206 0.679
0.679 0.679 0.206
0.855 0.312 0.312
0.956 0.537 0.956
0.956 0.956 0.537
```

Most intense lines, 2θ = 10–90°, sorted by position:
two_theta	Rel. int.
30.71	25
31.47	15
35.67	100
35.95	20
36.33	25
40.06	26
40.29	7
63.97	9
64.45	21
69.85	7

***

Starting from a DFT-relaxed cell (GGA-PBE, Alexandria), the powder diffraction line list of PrDyCdRu was computed for a wavelength of 1.5418 Å.

```
PrDyCdRu
1.0
3.530 0.000 0.000
0.000 3.530 0.000
0.000 0.000 7.831
Pr Dy Cd Ru
1 1 1 1
Direct
0.000 0.000 0.000
0.000 0.000 0.568
0.500 0.500 0.300
0.500 0.500 0.770
```

Most intense lines, 2θ = 10–90°, sorted by position:
two_theta	Rel. int.
34.20	100
35.98	49
43.10	8
46.38	7
51.80	17
60.06	13
63.56	35
72.05	7
86.36	8
87.37	8

***

Starting from a DFT-relaxed cell (GGA-PBE, Alexandria), the powder diffraction line list of DyPuCdRu was computed for a wavelength of 1.5418 Å.

```
DyPuCdRu
1.0
3.331 0.000 0.000
0.000 3.331 0.000
0.000 0.000 8.310
Dy Pu Cd Ru
1 1 1 1
Direct
0.000 0.000 0.000
0.000 0.000 0.585
0.500 0.500 0.289
0.500 0.500 0.791
```

Most intense lines, 2θ = 10–90°, sorted by position:
two_theta	Rel. int.
10.65	16
28.88	9
34.51	100
38.21	46
42.44	14
50.89	10
55.15	16
59.32	11
62.45	9
66.71	29

***

Starting from a DFT-relaxed cell (GGA-PBE, Alexandria), the powder diffraction line list of Dy12CdRh6 was computed for a wavelength of 1.5418 Å.

```
Dy12CdRh6
1.0
-4.939 4.939 4.939
4.939 -4.939 4.939
4.939 4.939 -4.939
Dy Cd Rh
12 1 6
Direct
0.112 0.811 0.301
0.189 0.301 0.490
0.189 0.699 0.888
0.301 0.112 0.811
0.301 0.490 0.189
0.490 0.189 0.301
0.510 0.811 0.699
0.699 0.510 0.811
0.699 0.888 0.189
0.811 0.301 0.112
0.811 0.699 0.510
0.888 0.189 0.699
0.000 0.000 0.000
0.131 0.631 0.500
0.369 0.500 0.869
0.500 0.131 0.631
0.500 0.869 0.369
0.631 0.500 0.131
0.869 0.369 0.500
```

Most intense lines, 2θ = 10–90°, sorted by position:
two_theta	Rel. int.
28.57	18
31.37	30
33.96	100
36.38	15
46.90	22
54.14	23
55.84	14
57.51	30
66.99	16
84.34	16

***

Starting from a DFT-relaxed cell (GGA-PBE, Alexandria), the powder diffraction line list of Dy5CdRh was computed for a wavelength of 1.5418 Å.

```
Dy5CdRh
1.0
4.558 -3.708 0.000
4.558 3.708 0.000
-3.197 0.000 11.484
Dy Cd Rh
10 2 2
Direct
0.005 0.995 0.750
0.082 0.417 0.624
0.208 0.539 0.931
0.417 0.082 0.124
0.461 0.792 0.569
0.539 0.208 0.431
0.583 0.918 0.876
0.792 0.461 0.069
0.918 0.583 0.376
0.995 0.005 0.250
0.404 0.596 0.250
0.596 0.404 0.750
0.000 0.000 0.000
0.000 0.000 0.500
```

Most intense lines, 2θ = 10–90°, sorted by position:
two_theta	Rel. int.
28.70	33
30.35	55
31.18	68
31.58	45
31.83	53
32.36	100
33.65	59
37.80	34
39.70	27
53.64	33

***

Starting from a DFT-relaxed cell (GGA-PBE, Alexandria), the powder diffraction line list of Dy3Cd2Rh was computed for a wavelength of 1.5418 Å.

```
Dy3Cd2Rh
1.0
5.072 0.000 0.000
0.000 7.475 0.000
-2.527 0.000 7.598
Dy Cd Rh
6 4 2
Direct
0.000 0.235 0.000
0.000 0.765 0.000
0.326 0.224 0.652
0.326 0.776 0.652
0.674 0.224 0.348
0.674 0.776 0.348
0.164 0.500 0.330
0.500 0.000 0.000
0.500 0.500 0.000
0.836 0.500 0.670
0.157 0.000 0.315
0.843 0.000 0.685
```

Most intense lines, 2θ = 10–90°, sorted by position:
two_theta	Rel. int.
34.68	100
35.42	49
48.73	8
50.96	17
61.67	16
63.06	9
63.13	24
73.17	9
81.85	5
85.69	5

***

Starting from a DFT-relaxed cell (GGA-PBE, Alexandria), the powder diffraction line list of Dy2CdSn2Rh5 was computed for a wavelength of 1.5418 Å.

```
Dy2CdSn2Rh5
1.0
10.100 0.000 0.000
0.000 10.100 0.000
0.000 0.000 3.759
Dy Cd Sn Rh
4 2 4 10
Direct
0.171 0.329 0.000
0.329 0.829 0.000
0.671 0.171 0.000
0.829 0.671 0.000
0.000 0.000 0.000
0.500 0.500 0.000
0.128 0.628 0.000
0.372 0.128 0.000
0.628 0.872 0.000
0.872 0.372 0.000
0.000 0.500 0.500
0.062 0.798 0.500
0.202 0.062 0.500
0.298 0.562 0.500
0.438 0.298 0.500
0.500 0.000 0.500
0.562 0.702 0.500
0.702 0.438 0.500
0.798 0.938 0.500
0.938 0.202 0.500
```

Most intense lines, 2θ = 10–90°, sorted by position:
two_theta	Rel. int.
30.95	10
34.65	19
36.69	35
36.93	100
37.79	20
39.92	13
40.15	30
43.16	16
48.44	21
62.27	15

***

Starting from a DFT-relaxed cell (GGA-PBE, Alexandria), the powder diffraction line list of Dy3ScCd7 was computed for a wavelength of 1.5418 Å.

```
Dy3ScCd7
1.0
1.669 -10.851 0.000
1.669 10.851 0.000
0.000 0.000 15.330
Dy Sc Cd
6 2 14
Direct
0.118 0.882 0.536
0.118 0.882 0.964
0.248 0.752 0.250
0.752 0.248 0.750
0.882 0.118 0.036
0.882 0.118 0.464
0.022 0.978 0.250
0.978 0.022 0.750
0.261 0.739 0.575
0.261 0.739 0.925
0.374 0.626 0.657
0.374 0.626 0.843
0.398 0.602 0.250
0.496 0.504 0.590
0.496 0.504 0.910
0.504 0.496 0.090
0.504 0.496 0.410
0.602 0.398 0.750
0.626 0.374 0.157
0.626 0.374 0.343
0.739 0.261 0.075
0.739 0.261 0.425
```

Most intense lines, 2θ = 10–90°, sorted by position:
two_theta	Rel. int.
30.29	54
31.75	39
32.30	100
33.02	82
35.91	95
38.49	37
38.97	50
43.60	41
49.97	36
55.01	24

***

Starting from a DFT-relaxed cell (GGA-PBE, Alexandria), the powder diffraction line list of Dy2ScCd5 was computed for a wavelength of 1.5418 Å.

```
Dy2ScCd5
1.0
5.033 0.000 0.000
0.000 5.033 0.000
0.000 0.000 14.938
Dy Sc Cd
4 2 10
Direct
0.000 0.000 0.241
0.000 0.000 0.759
0.500 0.500 0.259
0.500 0.500 0.741
0.000 0.000 0.500
0.500 0.500 0.000
0.000 0.000 0.000
0.000 0.500 0.115
0.000 0.500 0.385
0.000 0.500 0.615
0.000 0.500 0.885
0.500 0.000 0.115
0.500 0.000 0.385
0.500 0.000 0.615
0.500 0.000 0.885
0.500 0.500 0.500
```

Most intense lines, 2θ = 10–90°, sorted by position:
two_theta	Rel. int.
27.77	10
34.82	100
35.68	49
48.77	8
51.35	17
61.88	16
63.55	34
73.52	9
85.99	8
86.48	8

***

Starting from a DFT-relaxed cell (GGA-PBE, Alexandria), the powder diffraction line list of Dy3Sc2Cd3 was computed for a wavelength of 1.5418 Å.

```
Dy3Sc2Cd3
1.0
3.642 0.000 0.000
0.000 5.253 0.000
0.000 0.000 21.649
Dy Sc Cd
6 4 6
Direct
0.000 0.000 0.000
0.000 0.500 0.127
0.000 0.500 0.873
0.500 0.000 0.373
0.500 0.000 0.627
0.500 0.500 0.500
0.000 0.000 0.236
0.000 0.000 0.764
0.500 0.500 0.264
0.500 0.500 0.736
0.000 0.000 0.500
0.000 0.500 0.376
0.000 0.500 0.624
0.500 0.000 0.124
0.500 0.000 0.876
0.500 0.500 0.000
```

Most intense lines, 2θ = 10–90°, sorted by position:
two_theta	Rel. int.
33.10	26
34.13	26
34.24	100
48.29	18
50.09	8
59.86	18
61.17	18
61.37	9
62.01	9
72.13	11